Record 1
AcPm2US8: simulated X-ray powder pattern (Cu Kα (weighted mean of Kα1 and Kα2)), based on a crystal structure in Alexandria, relaxed with PBE.
Neutral-atom scattering factors, no anomalous dispersion.

Principal peaks in the range 15° ≤ 2θ ≤ 90°, by angle:
2θ = 22.78°, 3.904 Å, I 100, hkl 1 0 1; 2θ = 23.36°, 3.809 Å, I 97, hkl 0 2 1; 2θ = 26.70°, 3.339 Å, I 42, hkl 1 2 0; 2θ = 37.33°, 2.409 Å, I 26, hkl 2 0 0; 2θ = 38.14°, 2.360 Å, I 97, hkl 1 2 2; 2θ = 38.80°, 2.321 Å, I 22, hkl 0 4 0; 2θ = 44.50°, 2.036 Å, I 36, hkl 2 2 -1; 2θ = 44.94°, 2.017 Å, I 18, hkl 1 0 -3; 2θ = 45.26°, 2.004 Å, I 16, hkl 0 2 3; 2θ = 45.46°, 1.995 Å, I 33, hkl 1 4 1; 2θ = 54.93°, 1.671 Å, I 16, hkl 2 4 0; 2θ = 67.86°, 1.381 Å, I 18, hkl 3 2 2

Cell lengths 4.8181, 9.2839, 6.6633 Å; angles 90.00, 90.10, 90.00 degrees
Space group P2/m (No. 10)
Symmetry-distinct sites (fractional):
Ac (0.0000, 0.0000, 0.0000) [1 per cell]
Pm (0.5000, 0.2564, 0.5000) [2 per cell]
U (0.0000, 0.5000, 0.0000) [1 per cell]
S (0.9995, 0.2800, 0.2501) [4 per cell]
S (0.4995, 0.0000, 0.7354) [2 per cell]
S (0.4998, 0.5000, 0.2204) [2 per cell]

=====

Record 2
YHgTe2: simulated X-ray powder pattern (Cu Kα (weighted mean of Kα1 and Kα2)), based on a crystal structure in Alexandria, relaxed with PBE.
Neutral-atom scattering factors, no anomalous dispersion.

Principal peaks in the range 15° ≤ 2θ ≤ 90°, by angle:
2θ = 22.17°, 4.010 Å, I 63, hkl 1 0 -1; 2θ = 24.87°, 3.580 Å, I 49, hkl 0 2 -1; 2θ = 25.89°, 3.441 Å, I 77, hkl 0 1 2; 2θ = 29.14°, 3.064 Å, I 100, hkl 1 1 -2; 2θ = 31.95°, 2.801 Å, I 67, hkl 1 -2 0; 2θ = 32.60°, 2.747 Å, I 65, hkl 1 2 0; 2θ = 33.58°, 2.669 Å, I 28, hkl 0 0 3; 2θ = 35.43°, 2.534 Å, I 69, hkl 1 0 -3; 2θ = 40.31°, 2.238 Å, I 32, hkl 0 3 -2; 2θ = 43.70°, 2.071 Å, I 46, hkl 2 0 -1; 2θ = 45.29°, 2.002 Å, I 27, hkl 1 0 3; 2θ = 46.02°, 1.972 Å, I 38, hkl 1 3 1

Cell lengths 4.1429, 7.7036, 8.2927 Å; angles 94.34, 104.43, 90.00 degrees
Space group P1 (No. 1)
Symmetry-distinct sites (fractional):
Y (0.0000, 0.0000, 0.0000) [1 per cell]
Y (0.1343, 0.5338, 0.2695) [1 per cell]
Hg (0.7785, 0.0834, 0.5536) [1 per cell]
Hg (0.9440, 0.6005, 0.8870) [1 per cell]
Te (0.3595, 0.8834, 0.7180) [1 per cell]
Te (0.5248, 0.3073, 0.0501) [1 per cell]
Te (0.6230, 0.8449, 0.2464) [1 per cell]
Te (0.7663, 0.4395, 0.5339) [1 per cell]

=====

Record 3
TmBe17Fe: simulated X-ray powder pattern (Cu Kα (weighted mean of Kα1 and Kα2)), based on a crystal structure in Alexandria, relaxed with PBE.
Neutral-atom scattering factors, no anomalous dispersion.

Principal peaks in the range 15° ≤ 2θ ≤ 90°, by angle:
2θ = 15.98°, 5.547 Å, I 100, hkl 1 0 1; 2θ = 21.38°, 4.156 Å, I 67, hkl 0 1 2; 2θ = 23.89°, 3.724 Å, I 98, hkl 1 1 0; 2θ = 24.58°, 3.622 Å, I 32, hkl 0 0 3; 2θ = 28.88°, 3.092 Å, I 30, hkl 0 2 1; 2θ = 32.28°, 2.773 Å, I 26, hkl 2 0 2; 2θ = 34.54°, 2.597 Å, I 95, hkl 1 1 3; 2θ = 37.82°, 2.379 Å, I 30, hkl 2 1 1; 2θ = 40.56°, 2.224 Å, I 28, hkl 1 2 2; 2θ = 42.02°, 2.150 Å, I 34, hkl 3 0 0; 2θ = 48.91°, 1.862 Å, I 26, hkl 2 2 0; 2θ = 49.29°, 1.849 Å, I 49, hkl 3 0 3

Cell lengths 7.4483, 7.4483, 10.8664 Å; angles 90.00, 90.00, 120.00 degrees
Space group R3m (No. 160, hexagonal axes)
Symmetry-distinct sites (fractional):
Tm (0.0000, 0.0000, 0.0000) [3 per cell]
Be (0.0000, 0.0000, 0.2475) [3 per cell]
Be (0.0000, 0.0000, 0.4420) [3 per cell]
Be (0.0059, 0.5030, 0.8391) [9 per cell]
Be (0.0081, 0.2986, 0.3408) [18 per cell]
Be (0.0093, 0.5046, 0.4961) [9 per cell]
Be (0.0164, 0.5082, 0.1895) [9 per cell]
Fe (0.0000, 0.0000, 0.6602) [3 per cell]

=====

Record 4
Rb2IrOsF6: simulated X-ray powder pattern (Cu Kα (weighted mean of Kα1 and Kα2)), based on a crystal structure in Alexandria, relaxed with PBE.
Neutral-atom scattering factors, no anomalous dispersion.

Principal peaks in the range 15° ≤ 2θ ≤ 90°, by angle:
2θ = 16.27°, 5.446 Å, I 20, hkl 0 0 2; 2θ = 21.47°, 4.139 Å, I 19, hkl 1 1 0; 2θ = 27.06°, 3.295 Å, I 100, hkl 1 1 2; 2θ = 30.54°, 2.927 Å, I 35, hkl 2 0 0; 2θ = 32.89°, 2.723 Å, I 22, hkl 0 0 4; 2θ = 43.74°, 2.070 Å, I 22, hkl 2 2 0; 2θ = 45.50°, 1.994 Å, I 20, hkl 2 0 4; 2θ = 52.19°, 1.753 Å, I 33, hkl 3 1 2; 2θ = 55.25°, 1.663 Å, I 17, hkl 1 1 6; 2θ = 55.79°, 1.648 Å, I 19, hkl 2 2 4; 2θ = 72.99°, 1.296 Å, I 15, hkl 3 1 6; 2θ = 86.68°, 1.123 Å, I 8, hkl 5 1 2

Cell lengths 5.8535, 5.8535, 10.8930 Å; angles 90.00, 90.00, 90.00 degrees
Space group I4/mmm (No. 139)
Symmetry-distinct sites (fractional):
Rb (0.0000, 0.5000, 0.2500) [4 per cell]
Ir (0.0000, 0.0000, 0.0000) [2 per cell]
Os (0.0000, 0.0000, 0.5000) [2 per cell]
F (0.0000, 0.0000, 0.3129) [4 per cell]
F (0.2498, 0.2498, 0.0000) [8 per cell]

=====

Record 5
Rb2Sb2Au: simulated X-ray powder pattern (Cu Kα (weighted mean of Kα1 and Kα2)), based on a crystal structure in Alexandria, relaxed with PBE.
Neutral-atom scattering factors, no anomalous dispersion.

Principal peaks in the range 15° ≤ 2θ ≤ 90°, by angle:
2θ = 16.11°, 5.500 Å, I 42, hkl 1 0 0; 2θ = 20.45°, 4.343 Å, I 15, hkl 1 0 2; 2θ = 25.56°, 3.485 Å, I 100, hkl 1 1 1; 2θ = 30.03°, 2.976 Å, I 45, hkl 1 0 4; 2θ = 31.27°, 2.860 Å, I 32, hkl 1 1 3; 2θ = 32.56°, 2.750 Å, I 41, hkl 2 0 0; 2θ = 36.96°, 2.432 Å, I 50, hkl 0 1 5; 2θ = 37.86°, 2.376 Å, I 27, hkl 0 2 0; 2θ = 40.55°, 2.224 Å, I 24, hkl 1 1 5; 2θ = 49.06°, 1.857 Å, I 23, hkl 1 2 4; 2θ = 50.07°, 1.822 Å, I 42, hkl 2 1 5; 2θ = 50.78°, 1.798 Å, I 23, hkl 2 2 0

Cell lengths 5.5002, 4.7529, 14.1550 Å; angles 90.00, 90.00, 90.00 degrees
Space group Amm2 (No. 38)
Symmetry-distinct sites (fractional):
Rb (0.0000, 0.0000, 0.0000) [2 per cell]
Rb (0.0000, 0.0000, 0.2467) [2 per cell]
Sb (0.5000, 0.0000, 0.4237) [2 per cell]
Sb (0.5000, 0.0000, 0.6283) [2 per cell]
Au (0.5000, 0.0000, 0.8261) [2 per cell]

=====

Record 6
CaLa2: simulated X-ray powder pattern (Cu Kα (weighted mean of Kα1 and Kα2)), based on a crystal structure in Alexandria, relaxed with PBE.
Neutral-atom scattering factors, no anomalous dispersion.

Principal peaks in the range 15° ≤ 2θ ≤ 90°, by angle:
2θ = 27.27°, 3.271 Å, I 58, hkl 2 0 2; 2θ = 28.70°, 3.110 Å, I 50, hkl 4 0 -2; 2θ = 30.74°, 2.908 Å, I 36, hkl 4 0 1; 2θ = 30.85°, 2.899 Å, I 68, hkl 3 1 0; 2θ = 30.97°, 2.887 Å, I 100, hkl 1 1 -2; 2θ = 40.14°, 2.247 Å, I 19, hkl 2 0 -4; 2θ = 48.19°, 1.888 Å, I 37, hkl 0 2 0; 2θ = 52.36°, 1.747 Å, I 15, hkl 5 1 -4; 2θ = 57.11°, 1.613 Å, I 15, hkl 4 2 -2; 2θ = 57.25°, 1.609 Å, I 14, hkl 1 1 -5; 2θ = 58.44°, 1.579 Å, I 16, hkl 2 0 5; 2θ = 79.06°, 1.211 Å, I 18, hkl 2 2 5

Cell lengths 14.1135, 3.7718, 8.9910 Å; angles 90.00, 105.60, 90.00 degrees
Space group Cm (No. 8)
Symmetry-distinct sites (fractional):
Ca (0.0000, 0.0000, 0.0000) [2 per cell]
Ca (0.1591, 0.5000, 0.3330) [2 per cell]
La (0.1163, 0.5000, 0.7265) [2 per cell]
La (0.2822, 0.0000, 0.0526) [2 per cell]
La (0.3298, 0.0000, 0.6643) [2 per cell]
La (0.4310, 0.5000, 0.4012) [2 per cell]

=====

Record 7
Pu3Si2Ge4: simulated X-ray powder pattern (Cu Kα (weighted mean of Kα1 and Kα2)), based on a crystal structure in Alexandria, relaxed with PBE.
Neutral-atom scattering factors, no anomalous dispersion.

Principal peaks in the range 15° ≤ 2θ ≤ 90°, by angle:
2θ = 24.15°, 3.685 Å, I 39, hkl 1 1 -1; 2θ = 24.57°, 3.623 Å, I 19, hkl 2 0 -2; 2θ = 33.34°, 2.687 Å, I 100, hkl 1 1 2; 2θ = 33.65°, 2.663 Å, I 49, hkl 4 0 -1; 2θ = 42.23°, 2.140 Å, I 19, hkl 0 2 0; 2θ = 43.00°, 2.103 Å, I 36, hkl 3 1 -3; 2θ = 46.22°, 1.964 Å, I 14, hkl 4 0 2; 2θ = 52.81°, 1.733 Å, I 11, hkl 5 1 1; 2θ = 55.05°, 1.668 Å, I 25, hkl 4 2 -1; 2θ = 55.90°, 1.645 Å, I 12, hkl 2 0 -5; 2θ = 71.56°, 1.319 Å, I 11, hkl 1 3 2; 2θ = 72.48°, 1.304 Å, I 11, hkl 2 2 -5

Cell lengths 10.6970, 4.2801, 8.2347 Å; angles 90.00, 104.25, 90.00 degrees
Space group C2/m (No. 12)
Symmetry-distinct sites (fractional):
Pu (0.0000, 0.0000, 0.0000) [2 per cell]
Pu (0.1644, 0.5000, 0.6676) [4 per cell]
Si (0.1018, 0.5000, 0.2715) [4 per cell]
Ge (0.0693, 0.0000, 0.3953) [4 per cell]
Ge (0.2272, 0.5000, 0.0691) [4 per cell]

=====

Record 8
Pr8SbSe6: simulated X-ray powder pattern (Cu Kα (weighted mean of Kα1 and Kα2)), based on a crystal structure in Alexandria, relaxed with PBE.
Neutral-atom scattering factors, no anomalous dispersion.

Principal peaks in the range 15° ≤ 2θ ≤ 90°, by angle:
2θ = 26.34°, 3.383 Å, I 66, hkl 2 -1 1; 2θ = 28.02°, 3.184 Å, I 56, hkl 2 0 1; 2θ = 28.41°, 3.142 Å, I 99, hkl 3 0 0; 2θ = 32.58°, 2.748 Å, I 100, hkl 3 -2 1; 2θ = 34.31°, 2.614 Å, I 43, hkl 3 1 0; 2θ = 39.13°, 2.302 Å, I 77, hkl 2 2 1; 2θ = 41.81°, 2.160 Å, I 31, hkl 0 0 2; 2θ = 46.99°, 1.934 Å, I 41, hkl 2 3 1; 2θ = 49.06°, 1.857 Å, I 17, hkl 5 -4 1; 2θ = 51.32°, 1.780 Å, I 33, hkl 3 0 2; 2θ = 55.16°, 1.665 Å, I 18, hkl 1 3 2; 2θ = 73.70°, 1.285 Å, I 30, hkl 5 3 1

Cell lengths 10.8830, 10.8830, 4.3201 Å; angles 90.00, 90.00, 120.00 degrees
Space group P-3 (No. 147)
Symmetry-distinct sites (fractional):
Pr (0.0337, 0.7109, 0.2560) [6 per cell]
Pr (0.3333, 0.6667, 0.7480) [2 per cell]
Sb (0.0000, 0.0000, 0.5000) [1 per cell]
Se (0.1310, 0.4822, 0.2484) [6 per cell]